This entry pairs a crystal structure of GdHAu2 with its simulated powder X-ray diffraction pattern. Radiation: a wavelength of 1.5418 Å. Structure: a cell relaxed with PBE.

Crystal structure
Unit cell a=3.0797 b=3.0797 c=25.6288 alpha=90.00 beta=90.00 gamma=120.00
Space group R-3m (No. 166, hexagonal axes)
Inequivalent atoms, fractional coordinates:
Gd: 0.0000 0.0000 0.0000
H: 0.0000 0.0000 0.5000
Au: 0.0000 0.0000 0.1136

The 6 most intense peaks (10° ≤ 2θ ≤ 80°), by intensity:
2θ (°), d (Å), I_rel
33.8, 2.653, 1000
31.4, 2.848, 585
44.2, 2.050, 558
69.4, 1.355, 371
49.3, 1.848, 295
60.1, 1.540, 288


This entry pairs a crystal structure of Gd2HgAu with its simulated powder X-ray diffraction pattern. Radiation: a wavelength of 1.5418 Å. Structure: a cell relaxed with PBE.

Crystal structure
Unit cell a=7.3813 b=7.3813 c=7.3813 alpha=90.00 beta=90.00 gamma=90.00
Space group Fm-3m (No. 225)
Inequivalent atoms, fractional coordinates:
Gd: 0.2500 0.2500 0.2500
Hg: 0.0000 0.0000 0.0000
Au: 0.0000 0.0000 0.5000

The 6 most intense peaks (10° ≤ 2θ ≤ 80°), by intensity:
2θ (°), d (Å), I_rel
34.4, 2.610, 1000
61.5, 1.507, 377
49.4, 1.845, 182
72.4, 1.305, 118
24.1, 3.691, 18
55.7, 1.651, 9


This entry pairs a crystal structure of GdHoPtAu with its simulated powder X-ray diffraction pattern. Radiation: a wavelength of 1.5418 Å. Structure: a cell relaxed with PBE.

Crystal structure
Unit cell a=7.1091 b=7.1091 c=7.1091 alpha=90.00 beta=90.00 gamma=90.00
Space group F-43m (No. 216)
Inequivalent atoms, fractional coordinates:
Gd: 0.0000 0.0000 0.0000
Ho: 0.0000 0.0000 0.5000
Pt: 0.2500 0.2500 0.2500
Au: 0.2500 0.2500 0.7500

The 6 most intense peaks (10° ≤ 2θ ≤ 80°), by intensity:
2θ (°), d (Å), I_rel
35.7, 2.513, 1000
64.2, 1.451, 369
51.4, 1.777, 179
75.7, 1.257, 115
25.1, 3.555, 12
58.0, 1.590, 6


This entry pairs a crystal structure of GdMgInAu with its simulated powder X-ray diffraction pattern. Radiation: a wavelength of 1.5418 Å. Structure: a cell relaxed with PBE.

Crystal structure
Unit cell a=7.1484 b=7.1484 c=7.1484 alpha=90.00 beta=90.00 gamma=90.00
Space group F-43m (No. 216)
Inequivalent atoms, fractional coordinates:
Gd: 0.0000 0.0000 0.0000
Mg: 0.0000 0.0000 0.5000
In: 0.2500 0.2500 0.7500
Au: 0.2500 0.2500 0.2500

The 6 most intense peaks (10° ≤ 2θ ≤ 80°), by intensity:
2θ (°), d (Å), I_rel
35.5, 2.527, 1000
63.8, 1.459, 362
21.5, 4.127, 217
51.1, 1.787, 177
41.9, 2.155, 121
75.2, 1.264, 113


This entry pairs a crystal structure of GdInRhAu with its simulated powder X-ray diffraction pattern. Radiation: a wavelength of 1.5418 Å. Structure: a cell relaxed with PBE.

Crystal structure
Unit cell a=6.8805 b=6.8805 c=6.8805 alpha=90.00 beta=90.00 gamma=90.00
Space group F-43m (No. 216)
Inequivalent atoms, fractional coordinates:
Gd: 0.0000 0.0000 0.0000
In: 0.0000 0.0000 0.5000
Rh: 0.2500 0.2500 0.7500
Au: 0.2500 0.2500 0.2500

The 6 most intense peaks (10° ≤ 2θ ≤ 80°), by intensity:
2θ (°), d (Å), I_rel
37.0, 2.433, 1000
66.6, 1.404, 354
53.3, 1.720, 174
78.7, 1.216, 111
22.4, 3.972, 67
43.6, 2.075, 39


This entry pairs a crystal structure of GdThOsAu with its simulated powder X-ray diffraction pattern. Radiation: a wavelength of 1.5418 Å. Structure: a cell relaxed with PBE.

Crystal structure
Unit cell a=7.1825 b=7.1825 c=7.1825 alpha=90.00 beta=90.00 gamma=90.00
Space group F-43m (No. 216)
Inequivalent atoms, fractional coordinates:
Gd: 0.0000 0.0000 0.0000
Th: 0.0000 0.0000 0.5000
Os: 0.2500 0.2500 0.2500
Au: 0.2500 0.2500 0.7500

The 6 most intense peaks (10° ≤ 2θ ≤ 80°), by intensity:
2θ (°), d (Å), I_rel
35.3, 2.539, 1000
63.4, 1.466, 375
50.9, 1.796, 181
74.8, 1.270, 117
21.4, 4.147, 18
41.7, 2.166, 11


This entry pairs a crystal structure of GdPaZnAu with its simulated powder X-ray diffraction pattern. Radiation: a wavelength of 1.5418 Å. Structure: a cell relaxed with PBE.

Crystal structure
Unit cell a=7.2122 b=7.2122 c=7.2122 alpha=90.00 beta=90.00 gamma=90.00
Space group F-43m (No. 216)
Inequivalent atoms, fractional coordinates:
Gd: 0.0000 0.0000 0.0000
Pa: 0.0000 0.0000 0.5000
Zn: 0.2500 0.2500 0.7500
Au: 0.2500 0.2500 0.2500

The 6 most intense peaks (10° ≤ 2θ ≤ 80°), by intensity:
2θ (°), d (Å), I_rel
35.2, 2.550, 1000
63.2, 1.472, 372
50.6, 1.803, 180
74.4, 1.275, 116
21.3, 4.164, 111
41.5, 2.175, 65


This entry pairs a crystal structure of GdPdAu4 with its simulated powder X-ray diffraction pattern. Radiation: a wavelength of 1.5418 Å. Structure: a cell relaxed with PBE.

Crystal structure
Unit cell a=7.7909 b=7.7909 c=7.7909 alpha=90.00 beta=90.00 gamma=90.00
Space group F-43m (No. 216)
Inequivalent atoms, fractional coordinates:
Gd: 0.0000 0.0000 0.0000
Pd: 0.2500 0.2500 0.7500
Au: 0.1246 0.1246 0.3754

The 6 most intense peaks (10° ≤ 2θ ≤ 80°), by intensity:
2θ (°), d (Å), I_rel
38.3, 2.349, 1000
40.1, 2.249, 547
61.9, 1.499, 331
68.1, 1.377, 308
19.7, 4.498, 219
32.5, 2.754, 158